Theoretical powder XRD pattern
Compound: AlGaO
Radiation: λ = 1.5418 Å (Cu Kα)
Structure: a cell relaxed with PBE
No peak broadening, texture or thermal motion is included.

Structure:
```
AlGaO
1.0
2.9153 0.0000 0.0000
-1.4576 2.5247 0.0000
0.0000 0.0000 7.3437
Al Ga O
1 1 1
direct
0.0000 0.0000 0.0000
0.3333 0.6667 0.6727
0.6667 0.3333 0.0950
```

Peak list (12 most intense, 10° ≤ 2θ ≤ 80°, by angle)
2θ (°)  I/Imax
12.1  100.0
24.2  39.3
35.6  19.8
36.7  21.7
37.7  98.3
43.5  54.2
52.0  21.6
62.6  20.3
63.9  16.1
74.8  11.2
76.0  14.6
76.6  11.1